Simulated powder XRD pattern
Compound: Li5Mn2CoO8
Radiation: a wavelength of 1.5418 Å
Structure: the PBE+U geometry in the Materials Project

Atomic structure:
a b c (Å): 5.116 2.876 9.820
angles (deg): 90.00 101.19 90.00
Space group P2/m (No. 10)
Unique sites:
Li (0.000, 0.000, 0.000) [1 per cell]
Li (0.229, 0.500, 0.229) [2 per cell]
Li (0.256, 0.000, 0.763) [2 per cell]
Mn (0.500, 0.000, 0.500) [1 per cell]
Mn (0.500, 0.500, 0.000) [1 per cell]
Co (0.000, 0.500, 0.500) [1 per cell]
O (0.139, 0.000, 0.393) [2 per cell]
O (0.155, 0.500, 0.881) [2 per cell]
O (0.386, 0.000, 0.111) [2 per cell]
O (0.403, 0.500, 0.613) [2 per cell]

Top 12 peaks for 10° ≤ 2θ ≤ 90°, by angle:
d = 5.019 Å, 17.7 deg, I 11; d = 4.854 Å, 18.3 deg, I 11; d = 4.817 Å, 18.4 deg, I 100; d = 2.509 Å, 35.8 deg, I 14; d = 2.473 Å, 36.3 deg, I 26; d = 2.069 Å, 43.8 deg, I 92; d = 1.884 Å, 48.3 deg, I 8; d = 1.601 Å, 57.6 deg, I 11; d = 1.490 Å, 62.3 deg, I 8; d = 1.467 Å, 63.4 deg, I 16; d = 1.458 Å, 63.8 deg, I 16; d = 1.438 Å, 64.9 deg, I 8

Simulated powder XRD pattern
Compound: Li2Mn3Co3O12
Radiation: a wavelength of 1.5418 Å
Structure: the PBE+U geometry in the Materials Project

Atomic structure:
a b c (Å): 5.695 5.993 6.750
angles (deg): 72.56 76.47 87.85
Space group P-1 (No. 2)
Unique sites:
Li (0.197, 0.194, 0.310) [2 per cell]
Mn (0.000, 0.000, 0.000) [1 per cell]
Mn (0.331, 0.341, 0.671) [2 per cell]
Co (0.167, 0.666, 0.333) [2 per cell]
Co (0.500, 0.000, 0.000) [1 per cell]
O (0.078, 0.560, 0.641) [2 per cell]
O (0.085, 0.112, 0.689) [2 per cell]
O (0.249, 0.220, 0.985) [2 per cell]
O (0.255, 0.782, 0.027) [2 per cell]
O (0.412, 0.437, 0.364) [2 per cell]
O (0.416, 0.889, 0.303) [2 per cell]

Top 12 peaks for 10° ≤ 2θ ≤ 90°, by angle:
d = 5.038 Å, 17.6 deg, I 100; d = 2.519 Å, 35.6 deg, I 4; d = 2.455 Å, 36.6 deg, I 17; d = 2.410 Å, 37.3 deg, I 10; d = 2.098 Å, 43.1 deg, I 15; d = 2.087 Å, 43.4 deg, I 15; d = 2.023 Å, 44.8 deg, I 14; d = 1.650 Å, 55.7 deg, I 5; d = 1.640 Å, 56.1 deg, I 5; d = 1.591 Å, 58.0 deg, I 4; d = 1.423 Å, 65.6 deg, I 8; d = 1.383 Å, 67.7 deg, I 4

Simulated powder XRD pattern
Compound: Li4MnCo2O7
Radiation: a wavelength of 1.5418 Å
Structure: the PBE+U geometry in the Materials Project

Atomic structure:
a b c (Å): 5.004 5.092 10.688
angles (deg): 85.39 76.77 72.28
Space group P1 (No. 1)
Unique sites:
Li (0.000, 0.000, 0.000) [1 per cell]
Li (0.068, 0.496, 0.866) [1 per cell]
Li (0.141, 0.991, 0.728) [1 per cell]
Li (0.276, 0.995, 0.448) [1 per cell]
Li (0.433, 0.992, 0.154) [1 per cell]
Li (0.576, 0.993, 0.859) [1 per cell]
Li (0.708, 0.994, 0.589) [1 per cell]
Li (0.854, 0.992, 0.304) [1 per cell]
Mn (0.502, 0.492, 0.009) [1 per cell]
Mn (0.932, 0.488, 0.152) [1 per cell]
Co (0.206, 0.497, 0.590) [1 per cell]
Co (0.355, 0.492, 0.297) [1 per cell]
Co (0.634, 0.498, 0.734) [1 per cell]
Co (0.785, 0.496, 0.444) [1 per cell]
O (0.029, 0.731, 0.437) [1 per cell]
O (0.104, 0.270, 0.293) [1 per cell]
O (0.193, 0.705, 0.156) [1 per cell]
O (0.241, 0.274, 0.025) [1 per cell]
O (0.340, 0.729, 0.881) [1 per cell]
O (0.399, 0.266, 0.722) [1 per cell]
O (0.460, 0.727, 0.579) [1 per cell]
O (0.527, 0.271, 0.428) [1 per cell]
O (0.622, 0.703, 0.289) [1 per cell]
O (0.690, 0.262, 0.145) [1 per cell]
O (0.747, 0.714, 0.025) [1 per cell]
O (0.782, 0.263, 0.882) [1 per cell]
O (0.885, 0.726, 0.722) [1 per cell]
O (0.961, 0.266, 0.582) [1 per cell]

Top 12 peaks for 10° ≤ 2θ ≤ 90°, by angle:
d = 4.850 Å, 18.3 deg, I 100; d = 2.532 Å, 35.5 deg, I 14; d = 2.513 Å, 35.7 deg, I 13; d = 2.455 Å, 36.6 deg, I 12; d = 2.116 Å, 42.7 deg, I 29; d = 2.090 Å, 43.3 deg, I 28; d = 2.038 Å, 44.5 deg, I 26; d = 1.488 Å, 62.4 deg, I 8; d = 1.486 Å, 62.5 deg, I 8; d = 1.479 Å, 62.8 deg, I 7; d = 1.467 Å, 63.4 deg, I 7; d = 1.457 Å, 63.9 deg, I 7

Simulated powder XRD pattern
Compound: Li4MnCo2O7
Radiation: a wavelength of 1.5418 Å
Structure: the PBE+U geometry in the Materials Project

Atomic structure:
a b c (Å): 3.029 8.037 10.697
angles (deg): 78.56 86.88 89.12
Space group P1 (No. 1)
Unique sites:
Li (0.000, 0.000, 0.000) [1 per cell]
Li (0.001, 0.499, 0.000) [1 per cell]
Li (0.141, 0.071, 0.716) [1 per cell]
Li (0.287, 0.644, 0.430) [1 per cell]
Li (0.430, 0.209, 0.139) [1 per cell]
Li (0.572, 0.788, 0.860) [1 per cell]
Li (0.713, 0.357, 0.574) [1 per cell]
Li (0.859, 0.925, 0.285) [1 per cell]
Mn (0.285, 0.139, 0.431) [1 per cell]
Mn (0.860, 0.432, 0.284) [1 per cell]
Co (0.144, 0.569, 0.716) [1 per cell]
Co (0.435, 0.727, 0.136) [1 per cell]
Co (0.568, 0.274, 0.863) [1 per cell]
Co (0.714, 0.853, 0.575) [1 per cell]
O (0.014, 0.747, 0.011) [1 per cell]
O (0.124, 0.809, 0.709) [1 per cell]
O (0.162, 0.331, 0.724) [1 per cell]
O (0.264, 0.385, 0.426) [1 per cell]
O (0.307, 0.895, 0.438) [1 per cell]
O (0.421, 0.940, 0.146) [1 per cell]
O (0.445, 0.483, 0.147) [1 per cell]
O (0.553, 0.517, 0.849) [1 per cell]
O (0.577, 0.060, 0.855) [1 per cell]
O (0.697, 0.094, 0.569) [1 per cell]
O (0.735, 0.615, 0.581) [1 per cell]
O (0.837, 0.673, 0.278) [1 per cell]
O (0.880, 0.185, 0.289) [1 per cell]
O (0.983, 0.253, 0.989) [1 per cell]

Top 12 peaks for 10° ≤ 2θ ≤ 90°, by angle:
d = 4.822 Å, 18.4 deg, I 100; d = 2.651 Å, 33.8 deg, I 21; d = 2.459 Å, 36.5 deg, I 12; d = 2.434 Å, 36.9 deg, I 15; d = 2.391 Å, 37.6 deg, I 7; d = 2.228 Å, 40.5 deg, I 37; d = 2.033 Å, 44.6 deg, I 27; d = 2.009 Å, 45.1 deg, I 25; d = 1.508 Å, 61.5 deg, I 9; d = 1.496 Å, 62.1 deg, I 16; d = 1.489 Å, 62.4 deg, I 8; d = 1.442 Å, 64.7 deg, I 7

Simulated powder XRD pattern
Compound: Li7Mn4CoO12
Radiation: a wavelength of 1.5418 Å
Structure: the PBE+U geometry in the Materials Project

Atomic structure:
a b c (Å): 5.897 5.952 6.542
angles (deg): 76.74 75.89 88.40
Space group P1 (No. 1)
Unique sites:
Li (0.000, 0.000, 0.000) [1 per cell]
Li (0.001, 0.519, 0.991) [1 per cell]
Li (0.337, 0.339, 0.678) [1 per cell]
Li (0.341, 0.848, 0.678) [1 per cell]
Li (0.669, 0.685, 0.346) [1 per cell]
Li (0.671, 0.162, 0.355) [1 per cell]
Li (0.834, 0.841, 0.677) [1 per cell]
Mn (0.168, 0.170, 0.345) [1 per cell]
Mn (0.168, 0.679, 0.340) [1 per cell]
Mn (0.509, 0.512, 0.005) [1 per cell]
Mn (0.833, 0.338, 0.674) [1 per cell]
Co (0.513, 0.006, 0.004) [1 per cell]
O (0.072, 0.576, 0.651) [1 per cell]
O (0.077, 0.108, 0.660) [1 per cell]
O (0.261, 0.737, 0.017) [1 per cell]
O (0.269, 0.269, 0.031) [1 per cell]
O (0.398, 0.423, 0.325) [1 per cell]
O (0.409, 0.947, 0.347) [1 per cell]
O (0.592, 0.573, 0.693) [1 per cell]
O (0.602, 0.112, 0.682) [1 per cell]
O (0.728, 0.736, 0.019) [1 per cell]
O (0.753, 0.284, 0.988) [1 per cell]
O (0.919, 0.396, 0.360) [1 per cell]
O (0.955, 0.937, 0.330) [1 per cell]

Top 12 peaks for 10° ≤ 2θ ≤ 90°, by angle:
d = 4.822 Å, 18.4 deg, I 100; d = 2.553 Å, 35.2 deg, I 14; d = 2.495 Å, 36.0 deg, I 13; d = 2.476 Å, 36.3 deg, I 12; d = 2.124 Å, 42.6 deg, I 30; d = 2.065 Å, 43.8 deg, I 28; d = 2.058 Å, 44.0 deg, I 28; d = 1.906 Å, 47.7 deg, I 8; d = 1.592 Å, 57.9 deg, I 9; d = 1.487 Å, 62.4 deg, I 8; d = 1.482 Å, 62.7 deg, I 8; d = 1.474 Å, 63.1 deg, I 15

Simulated powder XRD pattern
Compound: Li3MnCoO5
Radiation: a wavelength of 1.5418 Å
Structure: the PBE+U geometry in the Materials Project

Atomic structure:
a b c (Å): 5.037 5.099 7.704
angles (deg): 83.63 71.48 70.98
Space group P1 (No. 1)
Unique sites:
Li (0.000, 0.000, 0.000) [1 per cell]
Li (0.089, 0.498, 0.813) [1 per cell]
Li (0.186, 0.997, 0.618) [1 per cell]
Li (0.392, 0.998, 0.208) [1 per cell]
Li (0.580, 0.005, 0.818) [1 per cell]
Li (0.783, 0.002, 0.413) [1 per cell]
Mn (0.287, 0.502, 0.412) [1 per cell]
Mn (0.491, 0.495, 0.007) [1 per cell]
Co (0.683, 0.503, 0.618) [1 per cell]
Co (0.892, 0.500, 0.202) [1 per cell]
O (0.040, 0.280, 0.407) [1 per cell]
O (0.163, 0.722, 0.207) [1 per cell]
O (0.248, 0.270, 0.017) [1 per cell]
O (0.361, 0.732, 0.822) [1 per cell]
O (0.444, 0.278, 0.593) [1 per cell]
O (0.523, 0.730, 0.414) [1 per cell]
O (0.617, 0.275, 0.213) [1 per cell]
O (0.733, 0.720, 0.024) [1 per cell]
O (0.808, 0.266, 0.823) [1 per cell]
O (0.950, 0.723, 0.592) [1 per cell]

Top 12 peaks for 10° ≤ 2θ ≤ 90°, by angle:
d = 7.305 Å, 12.1 deg, I 12; d = 4.821 Å, 18.4 deg, I 100; d = 2.504 Å, 35.9 deg, I 14; d = 2.478 Å, 36.2 deg, I 25; d = 2.086 Å, 43.4 deg, I 30; d = 2.062 Å, 43.9 deg, I 58; d = 1.903 Å, 47.8 deg, I 9; d = 1.594 Å, 57.9 deg, I 9; d = 1.472 Å, 63.2 deg, I 16; d = 1.466 Å, 63.4 deg, I 8; d = 1.461 Å, 63.7 deg, I 17; d = 1.450 Å, 64.3 deg, I 8

Simulated powder XRD pattern
Compound: Li2MnCo3O8
Radiation: a wavelength of 1.5418 Å
Structure: the PBE+U geometry in the Materials Project

Atomic structure:
a b c (Å): 5.708 5.709 5.929
angles (deg): 91.12 118.34 119.03
Space group P-1 (No. 2)
Unique sites:
Li (0.000, 0.000, 0.000) [1 per cell]
Li (0.500, 0.500, 0.000) [1 per cell]
Mn (0.000, 0.500, 0.500) [1 per cell]
Co (0.000, 0.000, 0.500) [1 per cell]
Co (0.500, 0.000, 0.500) [1 per cell]
Co (0.500, 0.500, 0.500) [1 per cell]
O (0.009, 0.753, 0.285) [2 per cell]
O (0.040, 0.264, 0.299) [2 per cell]
O (0.461, 0.241, 0.696) [2 per cell]
O (0.469, 0.721, 0.713) [2 per cell]

Top 12 peaks for 10° ≤ 2θ ≤ 90°, by angle:
d = 4.936 Å, 18.0 deg, I 100; d = 2.465 Å, 36.5 deg, I 25; d = 2.420 Å, 37.1 deg, I 10; d = 2.360 Å, 38.1 deg, I 6; d = 2.077 Å, 43.6 deg, I 35; d = 2.035 Å, 44.5 deg, I 17; d = 1.904 Å, 47.8 deg, I 6; d = 1.620 Å, 56.8 deg, I 10; d = 1.592 Å, 57.9 deg, I 5; d = 1.448 Å, 64.3 deg, I 5; d = 1.427 Å, 65.4 deg, I 9; d = 1.180 Å, 81.6 deg, I 6

Simulated powder XRD pattern
Compound: Li4MnCo2O7
Radiation: a wavelength of 1.5418 Å
Structure: the PBE+U geometry in the Materials Project

Atomic structure:
a b c (Å): 33.684 2.925 5.135
angles (deg): 90.00 93.16 90.00
Space group C2/m (No. 12)
Unique sites:
Li (0.000, 0.000, 0.000) [2 per cell]
Li (0.000, 0.500, 0.500) [2 per cell]
Li (0.069, 0.000, 0.352) [4 per cell]
Li (0.143, 0.500, 0.218) [4 per cell]
Li (0.214, 0.000, 0.071) [4 per cell]
Mn (0.069, 0.500, 0.868) [4 per cell]
Co (0.143, 0.000, 0.716) [4 per cell]
Co (0.214, 0.500, 0.572) [4 per cell]
O (0.039, 0.500, 0.152) [4 per cell]
O (0.040, 0.000, 0.695) [4 per cell]
O (0.104, 0.000, 0.015) [4 per cell]
O (0.108, 0.500, 0.570) [4 per cell]
O (0.177, 0.500, 0.879) [4 per cell]
O (0.180, 0.000, 0.410) [4 per cell]
O (0.248, 0.000, 0.733) [4 per cell]

Top 12 peaks for 10° ≤ 2θ ≤ 90°, by angle:
d = 8.408 Å, 10.5 deg, I 7; d = 4.831 Å, 18.4 deg, I 100; d = 2.518 Å, 35.7 deg, I 14; d = 2.498 Å, 36.0 deg, I 28; d = 2.400 Å, 37.5 deg, I 11; d = 2.095 Å, 43.2 deg, I 29; d = 2.075 Å, 43.6 deg, I 56; d = 1.913 Å, 47.5 deg, I 9; d = 1.601 Å, 57.6 deg, I 10; d = 1.477 Å, 62.9 deg, I 15; d = 1.472 Å, 63.2 deg, I 23; d = 1.462 Å, 63.6 deg, I 8

What did the sixth record say?
Simulated powder XRD pattern
Compound: Li3MnCoO5
Radiation: a wavelength of 1.5418 Å
Structure: the PBE+U geometry in the Materials Project

Atomic structure:
a b c (Å): 5.037 5.099 7.704
angles (deg): 83.63 71.48 70.98
Space group P1 (No. 1)
Unique sites:
Li (0.000, 0.000, 0.000) [1 per cell]
Li (0.089, 0.498, 0.813) [1 per cell]
Li (0.186, 0.997, 0.618) [1 per cell]
Li (0.392, 0.998, 0.208) [1 per cell]
Li (0.580, 0.005, 0.818) [1 per cell]
Li (0.783, 0.002, 0.413) [1 per cell]
Mn (0.287, 0.502, 0.412) [1 per cell]
Mn (0.491, 0.495, 0.007) [1 per cell]
Co (0.683, 0.503, 0.618) [1 per cell]
Co (0.892, 0.500, 0.202) [1 per cell]
O (0.040, 0.280, 0.407) [1 per cell]
O (0.163, 0.722, 0.207) [1 per cell]
O (0.248, 0.270, 0.017) [1 per cell]
O (0.361, 0.732, 0.822) [1 per cell]
O (0.444, 0.278, 0.593) [1 per cell]
O (0.523, 0.730, 0.414) [1 per cell]
O (0.617, 0.275, 0.213) [1 per cell]
O (0.733, 0.720, 0.024) [1 per cell]
O (0.808, 0.266, 0.823) [1 per cell]
O (0.950, 0.723, 0.592) [1 per cell]

Top 12 peaks for 10° ≤ 2θ ≤ 90°, by angle:
d = 7.305 Å, 12.1 deg, I 12; d = 4.821 Å, 18.4 deg, I 100; d = 2.504 Å, 35.9 deg, I 14; d = 2.478 Å, 36.2 deg, I 25; d = 2.086 Å, 43.4 deg, I 30; d = 2.062 Å, 43.9 deg, I 58; d = 1.903 Å, 47.8 deg, I 9; d = 1.594 Å, 57.9 deg, I 9; d = 1.472 Å, 63.2 deg, I 16; d = 1.466 Å, 63.4 deg, I 8; d = 1.461 Å, 63.7 deg, I 17; d = 1.450 Å, 64.3 deg, I 8

- Which formula does entry 2 have?
  Li2Mn3Co3O12